No. 1
# Na9ZnHg2
Calculated powder diffraction line list, Cu Kα (λ = 1.5418 Å). Input: a crystal structure in Alexandria, relaxed with GGA-PBE.

Atomic structure:
a = 6.747 Å, b = 6.856 Å, c = 9.394 Å
α = 100.70°, β = 108.58°, γ = 105.30°
Space group P-1 (No. 2)
One atom of each set of equivalent atoms:
1 Na 0.000 0.000 0.000 [1 per cell]
2 Na 0.090 0.471 0.848 [2 per cell]
3 Na 0.129 0.124 0.400 [2 per cell]
4 Na 0.463 0.068 0.814 [2 per cell]
5 Na 0.476 0.443 0.266 [2 per cell]
6 Zn 0.000 0.500 0.500 [1 per cell]
7 Hg 0.340 0.775 0.463 [2 per cell]

Main lines, sorted by position (2θ from 15° to 90°):
h k l, d (Å), two_theta, intensity
1 -1 0, 5.381, 16.5, 100
-1 1 1, 4.760, 18.6, 60
1 -1 1, 4.360, 20.4, 86
0 0 2, 4.254, 20.9, 52
1 -1 2, 3.190, 28.0, 38
2 1 -1, 2.623, 34.2, 92
2 -2 1, 2.498, 36.0, 34
2 1 0, 2.405, 37.4, 38


No. 2
# SmI3O9
Calculated powder diffraction line list, Cu Kα (λ = 1.5418 Å). Input: a crystal structure in Alexandria, relaxed with GGA-PBE.

Atomic structure:
a = 7.349 Å, b = 8.736 Å, c = 13.678 Å
α = 90.00°, β = 99.40°, γ = 90.00°
Space group P2_1/c (No. 14)
One atom of each set of equivalent atoms:
1 Sm 0.170 0.236 0.143 [4 per cell]
2 I 0.172 0.696 0.111 [4 per cell]
3 I 0.259 0.033 0.886 [4 per cell]
4 I 0.332 0.555 0.854 [4 per cell]
5 O 0.017 0.515 0.384 [4 per cell]
6 O 0.021 0.169 0.489 [4 per cell]
7 O 0.153 0.517 0.180 [4 per cell]
8 O 0.153 0.703 0.824 [4 per cell]
9 O 0.223 0.219 0.823 [4 per cell]
10 O 0.316 0.087 0.016 [4 per cell]
11 O 0.337 0.021 0.229 [4 per cell]
12 O 0.367 0.652 0.048 [4 per cell]
13 O 0.472 0.183 0.642 [4 per cell]

Main lines, sorted by position (2θ from 15° to 90°):
h k l, d (Å), two_theta, intensity
1 1 -3, 3.740, 23.8, 50
2 0 0, 3.625, 24.6, 51
1 2 1, 3.530, 25.2, 51
2 0 -2, 3.436, 25.9, 45
1 2 -2, 3.396, 26.2, 92
0 0 4, 3.373, 26.4, 100
1 2 2, 3.161, 28.2, 95
2 0 2, 3.000, 29.8, 43